Starting from the PBE geometry in Alexandria, the powder X-ray diffraction pattern of Ba6Lu2Al4O15 was computed for a wavelength of 1.5418 Å.

The 12 most intense peaks (5° ≤ 2θ ≤ 70°), most intense first:
31.26°, I 1000, hkl 2 1 3
30.59°, I 984, hkl 2 1 -3
30.23°, I 560, hkl 0 2 0
29.07°, I 559, hkl 0 0 6
42.43°, I 548, hkl 0 2 6
46.12°, I 233, hkl 4 0 0
52.06°, I 218, hkl 2 1 -9
14.57°, I 209, hkl 1 0 -2
19.29°, I 188, hkl 1 1 -1
53.92°, I 188, hkl 2 3 -3
19.47°, I 180, hkl 1 1 1
54.34°, I 179, hkl 2 3 3

Cell and atoms:
```
data_Ba6Lu2Al4O15
_cell_length_a 7.8761
_cell_length_b 5.9138
_cell_length_c 18.4384
_cell_angle_alpha 90.00
_cell_angle_beta 91.75
_cell_angle_gamma 90.00
_symmetry_space_group_name_H-M 'P 1 2/c 1'
_symmetry_Int_Tables_number 13
_symmetry_space_group_name_Hall '-P 2yc'
loop_
_atom_site_label
_atom_site_type_symbol
_atom_site_fract_x
_atom_site_fract_y
_atom_site_fract_z
Ba1 Ba 0.0000 0.1819 0.2500
Ba2 Ba 0.0010 0.2544 0.9182
Ba3 Ba 0.4712 0.2471 0.9106
Ba4 Ba 0.5000 0.2323 0.2500
Lu1 Lu 0.2516 0.2494 0.0890
Al1 Al 0.2518 0.2478 0.4455
Al2 Al 0.2783 0.2630 0.7303
O1 O 0.0363 0.2530 0.4097
O2 O 0.1877 0.1802 0.8111
O3 O 0.2313 0.4796 0.1839
O4 O 0.2560 0.0362 0.6658
O5 O 0.2631 0.4871 0.5063
O6 O 0.2639 0.0028 0.0005
O7 O 0.4451 0.2608 0.3956
O8 O 0.5000 0.2864 0.7500
```


Starting from the PBE geometry in Alexandria, the powder X-ray diffraction pattern of AcLa2NdDy4 was computed for a wavelength of 1.5418 Å.

The 12 most intense peaks (5° ≤ 2θ ≤ 70°), most intense first:
29.63°, I 1000, hkl 0 4 0
40.03°, I 882, hkl 0 4 4
26.31°, I 448, hkl 0 0 4
59.73°, I 272, hkl 2 6 4
62.94°, I 226, hkl 0 4 8
52.58°, I 202, hkl 2 6 0
68.08°, I 184, hkl 0 8 4
61.52°, I 125, hkl 0 8 0
54.15°, I 60, hkl 0 0 8
27.81°, I 24, hkl 1 2 3
20.56°, I 16, hkl 1 2 1
51.27°, I 10, hkl 1 2 7

Cell and atoms:
```
data_AcLa2NdDy4
_cell_length_a 6.9607
_cell_length_b 12.0621
_cell_length_c 13.5512
_cell_angle_alpha 90.00
_cell_angle_beta 90.00
_cell_angle_gamma 90.00
_symmetry_space_group_name_H-M 'I m m a'
_symmetry_Int_Tables_number 74
_symmetry_space_group_name_Hall '-I 2b 2'
loop_
_atom_site_label
_atom_site_type_symbol
_atom_site_fract_x
_atom_site_fract_y
_atom_site_fract_z
Ac1 Ac 0.0000 0.0000 0.0000
La1 La 0.0000 0.0000 0.5000
La2 La 0.2500 0.2500 0.2500
Nd1 Nd 0.2500 0.2500 0.7500
Dy1 Dy 0.0000 0.0018 0.7413
Dy2 Dy 0.2376 0.2500 0.5012
```


Starting from the PBE geometry in Alexandria, the powder X-ray diffraction pattern of Pm2Zn3Hg4 was computed for a wavelength of 1.5418 Å.

The 12 most intense peaks (5° ≤ 2θ ≤ 70°), most intense first:
36.37°, I 1000, hkl 2 0 2
33.51°, I 748, hkl 1 5 1
32.98°, I 507, hkl 2 2 1
34.53°, I 475, hkl 0 2 3
35.58°, I 290, hkl 0 6 1
31.08°, I 279, hkl 2 2 0
24.32°, I 233, hkl 0 2 2
40.46°, I 232, hkl 0 6 2
24.86°, I 229, hkl 0 4 1
65.22°, I 217, hkl 0 8 4
36.88°, I 197, hkl 2 4 0
54.26°, I 191, hkl 3 5 1

Cell and atoms:
```
data_Pm2Zn3Hg4
_cell_length_a 6.1708
_cell_length_b 15.9031
_cell_length_c 8.2449
_cell_angle_alpha 90.00
_cell_angle_beta 90.00
_cell_angle_gamma 90.00
_symmetry_space_group_name_H-M 'C m c e'
_symmetry_Int_Tables_number 64
_symmetry_space_group_name_Hall '-C 2ac 2'
loop_
_atom_site_label
_atom_site_type_symbol
_atom_site_fract_x
_atom_site_fract_y
_atom_site_fract_z
Pm1 Pm 0.0000 0.1135 0.0911
Zn1 Zn 0.0000 0.0000 0.5000
Zn2 Zn 0.2500 0.2280 0.7500
Hg1 Hg 0.0000 0.1794 0.4744
Hg2 Hg 0.2500 0.0531 0.7500
```


Starting from the PBE geometry in Alexandria, the powder X-ray diffraction pattern of LaSbHRh2 was computed for a wavelength of 1.5418 Å.

The 12 most intense peaks (5° ≤ 2θ ≤ 70°), most intense first:
33.28°, I 1000, hkl 1 1 2
34.11°, I 833, hkl 1 3 1
43.31°, I 706, hkl 2 0 0
33.69°, I 563, hkl 0 4 1
40.28°, I 380, hkl 1 3 2
55.97°, I 260, hkl 2 4 1
61.06°, I 259, hkl 1 7 0
31.83°, I 256, hkl 1 3 0
15.54°, I 215, hkl 0 2 0
60.31°, I 212, hkl 2 2 3
39.81°, I 196, hkl 0 2 3
49.13°, I 179, hkl 1 3 3

Cell and atoms:
```
data_LaSbHRh2
_cell_length_a 4.1785
_cell_length_b 11.4018
_cell_length_c 7.4014
_cell_angle_alpha 90.00
_cell_angle_beta 90.00
_cell_angle_gamma 90.00
_symmetry_space_group_name_H-M 'C m c m'
_symmetry_Int_Tables_number 63
_symmetry_space_group_name_Hall '-C 2c 2'
loop_
_atom_site_label
_atom_site_type_symbol
_atom_site_fract_x
_atom_site_fract_y
_atom_site_fract_z
La1 La 0.0000 0.0668 0.2500
Sb1 Sb 0.0000 0.2139 0.7500
H1 H 0.0000 0.5000 0.0000
Rh1 Rh 0.0000 0.3459 0.0474
```


Starting from the PBE geometry in Alexandria, the powder X-ray diffraction pattern of LaTb5Pr2Tm was computed for a wavelength of 1.5418 Å.

The 12 most intense peaks (5° ≤ 2θ ≤ 70°), most intense first:
30.50°, I 1000, hkl 2 0 4
28.75°, I 514, hkl 2 2 0
28.38°, I 465, hkl 2 1 3
52.04°, I 228, hkl 4 2 4
42.80°, I 195, hkl 4 0 2
34.22°, I 163, hkl 0 0 6
37.35°, I 154, hkl 3 2 1
55.26°, I 133, hkl 2 2 8
46.12°, I 122, hkl 0 0 8
32.23°, I 111, hkl 3 1 0
36.57°, I 108, hkl 2 1 5
45.98°, I 107, hkl 4 1 3

Cell and atoms:
```
data_LaTb5Pr2Tm
_cell_length_a 8.7833
_cell_length_b 8.7833
_cell_length_c 15.7450
_cell_angle_alpha 90.00
_cell_angle_beta 90.00
_cell_angle_gamma 90.00
_symmetry_space_group_name_H-M 'I 4/m c m'
_symmetry_Int_Tables_number 140
_symmetry_space_group_name_Hall '-I 4 2c'
loop_
_atom_site_label
_atom_site_type_symbol
_atom_site_fract_x
_atom_site_fract_y
_atom_site_fract_z
La1 La 0.0000 0.0000 0.2500
Tb1 Tb 0.0000 0.0000 0.0000
Tb2 Tb 0.2100 0.2900 0.1381
Pr1 Pr 0.1181 0.3819 0.5000
Tm1 Tm 0.0000 0.5000 0.2500
```


Starting from the PBE geometry in Alexandria, the powder X-ray diffraction pattern of SnTe5Pd3 was computed for a wavelength of 1.5418 Å.

The 12 most intense peaks (5° ≤ 2θ ≤ 70°), most intense first:
29.98°, I 1000, hkl 2 2 1
40.71°, I 965, hkl 3 3 0
45.42°, I 898, hkl 1 3 -4
34.45°, I 699, hkl 1 1 -4
20.17°, I 683, hkl 0 2 0
25.93°, I 568, hkl 0 0 3
20.04°, I 503, hkl 2 0 -2
33.44°, I 465, hkl 4 0 -1
32.13°, I 444, hkl 1 3 -1
28.26°, I 391, hkl 3 1 0
41.00°, I 374, hkl 0 4 0
53.89°, I 373, hkl 3 3 3

Cell and atoms:
```
data_SnTe5Pd3
_cell_length_a 10.7639
_cell_length_b 8.8052
_cell_length_c 10.9390
_cell_angle_alpha 90.00
_cell_angle_beta 109.48
_cell_angle_gamma 90.00
_symmetry_space_group_name_H-M 'C 1 2/m 1'
_symmetry_Int_Tables_number 12
_symmetry_space_group_name_Hall '-C 2y'
loop_
_atom_site_label
_atom_site_type_symbol
_atom_site_fract_x
_atom_site_fract_y
_atom_site_fract_z
Sn1 Sn 0.0723 0.0000 0.2658
Te1 Te 0.0000 0.3052 0.0000
Te2 Te 0.1025 0.5000 0.3978
Te3 Te 0.1347 0.1939 0.6842
Te4 Te 0.2305 0.5000 0.9392
Pd1 Pd 0.0000 0.0000 0.0000
Pd2 Pd 0.0000 0.0000 0.5000
Pd3 Pd 0.1641 0.5000 0.6633
Pd4 Pd 0.1741 0.5000 0.1750
```